# PrTe
Theoretical powder XRD pattern, a wavelength of 1.5418 Å. Input: a DFT-relaxed cell (GGA-PBE, the Materials Project).

```
data_PrTe
_chemical_formula_sum 'Pr4 Te4'
_cell_length_a 6.4156
_cell_length_b 6.4156
_cell_length_c 6.4156
_cell_angle_alpha 90.00
_cell_angle_beta 90.00
_cell_angle_gamma 90.00
_space_group_name_H-M_alt 'F m -3 m'
_space_group_IT_number 225
_space_group_name_Hall '-F 4 2 3'
loop_
_atom_site_label
_atom_site_fract_x
_atom_site_fract_y
_atom_site_fract_z
Pr1 0.0000 0.0000 0.0000
Te1 0.0000 0.0000 0.5000
```

Most intense lines, 2θ = 5–70°, by intensity:
Position (°2θ)  I (rel.)
27.81  100.0
39.74  76.6
65.01  35.6
49.20  27.6
57.46  13.0
24.03  0.8